(1)
Structure and simulated X-ray diffraction stick pattern of TbErSbAs (a DFT-relaxed cell (GGA-PBE, Alexandria); Cu Kα).

Cell and atoms:
Lattice parameters (Å, degrees): 7.5782 7.5782 7.5782 32.19 32.19 32.19
Fractional positions:
Tb: 0.0000 0.0000 0.0000
Er: 0.1811 0.1811 0.1811
Sb: 0.7591 0.7591 0.7591
As: 0.5875 0.5875 0.5875

The 12 most intense peaks (2θ = 15–90°), by angle:
- 2θ = 24.81°, d 3.588, I 288
- 2θ = 25.84°, d 3.447, I 277
- 2θ = 29.63°, d 3.015, I 267
- 2θ = 32.20°, d 2.780, I 1000
- 2θ = 38.31°, d 2.350, I 372
- 2θ = 43.06°, d 2.101, I 563
- 2θ = 49.16°, d 1.853, I 148
- 2θ = 50.88°, d 1.795, I 137
- 2θ = 54.77°, d 1.676, I 221
- 2θ = 58.98°, d 1.566, I 105
- 2θ = 68.80°, d 1.365, I 262
- 2θ = 72.09°, d 1.310, I 194

(2)
Structure and simulated X-ray diffraction stick pattern of YErSbAs (a DFT-relaxed cell (GGA-PBE, Alexandria); Cu Kα).

Cell and atoms:
Lattice parameters (Å, degrees): 7.5676 7.5676 7.5676 32.18 32.18 32.18
Fractional positions:
Y: 0.0000 0.0000 0.0000
Er: 0.1811 0.1811 0.1811
Sb: 0.7587 0.7587 0.7587
As: 0.5875 0.5875 0.5875

The 12 most intense peaks (2θ = 15–90°), by angle:
- 2θ = 24.86°, d 3.582, I 132
- 2θ = 25.89°, d 3.442, I 454
- 2θ = 29.68°, d 3.010, I 181
- 2θ = 32.25°, d 2.775, I 1000
- 2θ = 38.37°, d 2.346, I 426
- 2θ = 43.13°, d 2.097, I 551
- 2θ = 49.23°, d 1.851, I 153
- 2θ = 50.97°, d 1.792, I 166
- 2θ = 54.87°, d 1.673, I 218
- 2θ = 59.08°, d 1.564, I 120
- 2θ = 68.92°, d 1.362, I 284
- 2θ = 72.23°, d 1.308, I 191

(3)
Structure and simulated X-ray diffraction stick pattern of Er5As2Se2 (a DFT-relaxed cell (GGA-PBE, Alexandria); Cu Kα).

Cell and atoms:
Lattice parameters (Å, degrees): 8.1192 8.1192 7.6056 90.00 90.00 55.40
Fractional positions:
Er: 0.0000 0.0000 0.0000
Er: 0.0231 0.7067 0.6555
Er: 0.2067 0.5231 0.1555
Er: 0.2933 0.9769 0.6555
Er: 0.4769 0.7933 0.1555
Er: 0.5000 0.5000 0.5000
Er: 0.5231 0.2067 0.8445
Er: 0.7067 0.0231 0.3445
Er: 0.7933 0.4769 0.8445
Er: 0.9769 0.2933 0.3445
As: 0.1466 0.8534 0.3549
As: 0.3534 0.6466 0.8549
As: 0.6466 0.3534 0.1451
As: 0.8534 0.1466 0.6451
Se: 0.1975 0.1975 0.0000
Se: 0.3025 0.3025 0.5000
Se: 0.6975 0.6975 0.5000
Se: 0.8025 0.8025 0.0000

The 12 most intense peaks (2θ = 15–90°), by angle:
- 2θ = 26.36°, d 3.381, I 413
- 2θ = 26.98°, d 3.305, I 257
- 2θ = 32.31°, d 2.771, I 1000
- 2θ = 33.45°, d 2.679, I 291
- 2θ = 34.33°, d 2.612, I 235
- 2θ = 34.46°, d 2.603, I 253
- 2θ = 35.43°, d 2.534, I 337
- 2θ = 36.49°, d 2.463, I 883
- 2θ = 37.96°, d 2.370, I 626
- 2θ = 38.19°, d 2.357, I 640
- 2θ = 54.90°, d 1.672, I 237
- 2θ = 69.81°, d 1.347, I 320

(4)
Structure and simulated X-ray diffraction stick pattern of Er4Tl2AsSe (a DFT-relaxed cell (GGA-PBE, Alexandria); Cu Kα).

Cell and atoms:
Lattice parameters (Å, degrees): 6.8346 3.9318 8.1856 90.00 106.09 90.00
Fractional positions:
Er: 0.2338 0.0000 0.2141
Er: 0.2555 0.5000 0.7822
Er: 0.7445 0.5000 0.2178
Er: 0.7662 0.0000 0.7859
Tl: 0.0000 0.0000 0.5000
Tl: 0.5000 0.5000 0.5000
As: 0.0000 0.5000 0.0000
Se: 0.5000 0.0000 0.0000

The 12 most intense peaks (2θ = 15–90°), by angle:
- 2θ = 26.40°, d 3.376, I 81
- 2θ = 30.27°, d 2.953, I 1000
- 2θ = 32.39°, d 2.764, I 131
- 2θ = 34.20°, d 2.622, I 69
- 2θ = 40.43°, d 2.231, I 401
- 2θ = 46.04°, d 1.971, I 221
- 2θ = 46.17°, d 1.966, I 183
- 2θ = 56.20°, d 1.637, I 118
- 2θ = 57.51°, d 1.602, I 87
- 2θ = 62.95°, d 1.476, I 109
- 2θ = 67.25°, d 1.392, I 95
- 2θ = 75.41°, d 1.261, I 99

(5)
Structure and simulated X-ray diffraction stick pattern of Sm4ErAs5 (a DFT-relaxed cell (GGA-PBE, Alexandria); Cu Kα).

Cell and atoms:
Lattice parameters (Å, degrees): 7.2575 7.2575 7.2575 99.60 99.60 131.79
Fractional positions:
Sm: 0.0988 0.2999 0.3986
Sm: 0.2999 0.9012 0.2011
Sm: 0.7001 0.0988 0.7989
Sm: 0.9012 0.7001 0.6014
Er: 0.5000 0.5000 0.0000
As: 0.0000 0.0000 0.0000
As: 0.2041 0.5987 0.8028
As: 0.4013 0.2041 0.6054
As: 0.5987 0.7959 0.3946
As: 0.7959 0.4013 0.1972

The 10 most intense peaks (2θ = 15–90°), by angle:
- 2θ = 26.04°, d 3.421, I 204
- 2θ = 30.16°, d 2.963, I 1000
- 2θ = 43.18°, d 2.095, I 748
- 2θ = 51.12°, d 1.787, I 101
- 2θ = 53.57°, d 1.711, I 264
- 2θ = 62.71°, d 1.482, I 123
- 2θ = 69.09°, d 1.360, I 42
- 2θ = 71.15°, d 1.325, I 337
- 2θ = 79.18°, d 1.210, I 252
- 2θ = 85.06°, d 1.140, I 33

(6)
Structure and simulated X-ray diffraction stick pattern of Tb2ErAs3 (a DFT-relaxed cell (GGA-PBE, Alexandria); Cu Kα).

Cell and atoms:
Lattice parameters (Å, degrees): 9.2122 9.2122 9.2122 154.16 154.16 36.87
Fractional positions:
Tb: 0.1666 0.1666 0.0000
Tb: 0.8334 0.8334 0.0000
Er: 0.5000 0.5000 0.0000
As: 0.0000 0.0000 0.0000
As: 0.3343 0.3343 0.0000
As: 0.6657 0.6657 0.0000

The 10 most intense peaks (2θ = 15–90°), by angle:
- 2θ = 26.50°, d 3.364, I 230
- 2θ = 30.69°, d 2.913, I 1000
- 2θ = 43.96°, d 2.060, I 746
- 2θ = 52.06°, d 1.757, I 113
- 2θ = 54.56°, d 1.682, I 263
- 2θ = 63.91°, d 1.457, I 122
- 2θ = 70.45°, d 1.337, I 46
- 2θ = 72.56°, d 1.303, I 336
- 2θ = 80.82°, d 1.189, I 252
- 2θ = 86.87°, d 1.121, I 37